Theoretical powder diffractogram
Compound: K4Na4Nb3W5O24
Radiation: CuKα
Structure: the GGA+U geometry in the Materials Project
Intensities are scaled so that the largest is 100.

Lattice parameters (Å, degrees): 8.029 8.037 8.041 90.00 90.00 90.00
Space group Pmm2 (No. 25)
Unique sites:
K1 0.249 0.249 0.000 x4
Na1 0.249 0.249 0.500 x4
Nb1 0.000 0.500 0.252 x1
Nb2 0.000 0.500 0.749 x1
Nb3 0.500 0.500 0.252 x1
W1 0.000 0.000 0.252 x1
W2 0.000 0.000 0.749 x1
W3 0.500 0.000 0.252 x1
W4 0.500 0.000 0.749 x1
W5 0.500 0.500 0.749 x1
O1 0.000 0.000 0.001 x1
O2 0.000 0.000 0.499 x1
O3 0.000 0.246 0.253 x2
O4 0.000 0.254 0.747 x2
O5 0.000 0.500 0.002 x1
O6 0.000 0.500 0.498 x1
O7 0.243 0.000 0.747 x2
O8 0.250 0.000 0.253 x2
O9 0.251 0.500 0.253 x2
O10 0.255 0.500 0.747 x2
O11 0.500 0.000 0.001 x1
O12 0.500 0.000 0.500 x1
O13 0.500 0.247 0.253 x2
O14 0.500 0.261 0.747 x2
O15 0.500 0.500 0.503 x1
O16 0.500 0.500 0.997 x1

Largest 10 diffraction maxima, sorted by position, 2θ = 10–90°:
11.01 deg, I 8, hkl 0 1 0; 22.12 deg, I 80, hkl 2 0 0; 31.49 deg, I 100, hkl 2 2 0; 45.13 deg, I 35, hkl 4 0 0; 50.81 deg, I 34, hkl 4 2 0; 56.07 deg, I 39, hkl 4 2 2; 65.74 deg, I 21, hkl 4 4 0; 70.28 deg, I 15, hkl 0 6 0; 74.68 deg, I 11, hkl 2 6 0; 83.32 deg, I 7, hkl 4 4 4

Theoretical powder diffractogram
Compound: K5Na3Nb4W4O24
Radiation: CuKα
Structure: the GGA+U geometry in the Materials Project
Intensities are scaled so that the largest is 100.

Lattice parameters (Å, degrees): 11.364 11.385 8.037 90.00 90.12 90.00
Space group Cm (No. 8)
Unique sites:
K1 0.000 0.000 0.000 x2
K2 0.000 0.000 0.500 x2
K3 0.249 0.249 0.500 x4
K4 0.498 0.000 0.500 x2
Na1 0.249 0.249 0.000 x4
Na2 0.498 0.000 0.000 x2
Nb1 0.249 0.000 0.249 x2
Nb2 0.250 0.000 0.752 x2
Nb3 0.499 0.249 0.248 x4
W1 0.248 0.500 0.249 x2
W2 0.249 0.500 0.752 x2
W3 0.499 0.249 0.751 x4
O1 0.000 0.249 0.501 x4
O2 0.123 0.127 0.751 x4
O3 0.124 0.126 0.248 x4
O4 0.126 0.376 0.753 x4
O5 0.127 0.378 0.247 x4
O6 0.248 0.500 0.006 x2
O7 0.248 0.500 0.493 x2
O8 0.249 0.000 0.502 x2
O9 0.250 0.000 0.999 x2
O10 0.370 0.377 0.248 x4
O11 0.371 0.375 0.753 x4
O12 0.375 0.125 0.247 x4
O13 0.376 0.126 0.755 x4
O14 0.498 0.248 0.000 x4

Largest 10 diffraction maxima, sorted by position, 2θ = 10–90°:
11.00 deg, I 10, hkl 0 0 1; 22.11 deg, I 73, hkl 2 2 0; 31.47 deg, I 100, hkl 4 0 0; 45.10 deg, I 36, hkl 4 4 0; 50.77 deg, I 26, hkl 6 2 0; 56.00 deg, I 29, hkl 2 6 2; 65.62 deg, I 11, hkl 0 8 0; 65.75 deg, I 11, hkl 8 0 0; 70.20 deg, I 11, hkl 6 6 0; 74.64 deg, I 14, hkl 8 4 0

Q: What is the formula in the second record?
A: K5Na3Nb4W4O24